Entry 1:
The following is a simulated powder diffractogram of DySc2H7. It was derived from the GGA-PBE geometry in Alexandria, using copper Kα.
Peak positions follow from Bragg's law for the DFT cell and can differ from measured ones.

Top 12 peaks for 2θ = 15–90°, sorted by position:
Position (°2θ)  d (Å)  I/Imax
24.06  3.699  12
26.63  3.348  33
31.73  2.820  100
36.43  2.466  16
36.99  2.430  31
39.01  2.309  12
52.89  1.731  24
53.31  1.718  12
62.64  1.483  13
63.39  1.467  26
66.30  1.410  11
86.73  1.123  11

Cell and atoms:
Lattice parameters (Å, degrees): 7.788 7.788 7.788 154.51 154.51 36.37
Fractional positions:
Dy (0.000, 0.000, 0.000)
Sc (0.329, 0.329, 0.000)
Sc (0.671, 0.671, 0.000)
H (0.096, 0.596, 0.500)
H (0.250, 0.750, 0.500)
H (0.404, 0.904, 0.500)
H (0.500, 0.500, 0.000)
H (0.596, 0.096, 0.500)
H (0.750, 0.250, 0.500)
H (0.904, 0.404, 0.500)

=====

Entry 2:
The following is a simulated powder diffractogram of Sm3DyH8. It was derived from the GGA-PBE geometry in Alexandria, using copper Kα.
Peak positions follow from Bragg's law for the DFT cell and can differ from measured ones.

Top 8 peaks for 2θ = 15–90°, sorted by position:
Position (°2θ)  d (Å)  I/Imax
29.08  3.071  100
33.70  2.659  49
48.40  1.880  38
57.47  1.604  44
60.28  1.535  13
70.87  1.330  6
78.36  1.220  18
80.81  1.189  16

Cell and atoms:
Lattice parameters (Å, degrees): 5.319 5.319 5.319 90.00 90.00 90.00
Fractional positions:
Sm (0.000, 0.000, 0.500)
Sm (0.000, 0.500, 0.000)
Sm (0.500, 0.000, 0.000)
Dy (0.500, 0.500, 0.500)
H (0.255, 0.255, 0.255)
H (0.255, 0.255, 0.745)
H (0.255, 0.745, 0.255)
H (0.255, 0.745, 0.745)
H (0.745, 0.255, 0.255)
H (0.745, 0.255, 0.745)
H (0.745, 0.745, 0.255)
H (0.745, 0.745, 0.745)

=====

Entry 3:
The following is a simulated powder diffractogram of SmDy3H8. It was derived from the GGA-PBE geometry in Alexandria, using copper Kα.
Peak positions follow from Bragg's law for the DFT cell and can differ from measured ones.

Top 8 peaks for 2θ = 15–90°, sorted by position:
Position (°2θ)  d (Å)  I/Imax
29.61  3.017  100
34.33  2.612  49
49.33  1.847  38
58.60  1.575  44
61.48  1.508  12
72.34  1.306  6
80.05  1.199  18
82.58  1.168  16

Cell and atoms:
Lattice parameters (Å, degrees): 5.225 5.225 5.225 90.00 90.00 90.00
Fractional positions:
Sm (0.000, 0.000, 0.000)
Dy (0.000, 0.500, 0.500)
Dy (0.500, 0.000, 0.500)
Dy (0.500, 0.500, 0.000)
H (0.255, 0.255, 0.255)
H (0.255, 0.255, 0.745)
H (0.255, 0.745, 0.255)
H (0.255, 0.745, 0.745)
H (0.745, 0.255, 0.255)
H (0.745, 0.255, 0.745)
H (0.745, 0.745, 0.255)
H (0.745, 0.745, 0.745)

=====

Entry 4:
The following is a simulated powder diffractogram of TbDyH2. It was derived from the GGA-PBE geometry in Alexandria, using copper Kα.
Peak positions follow from Bragg's law for the DFT cell and can differ from measured ones.

Top 12 peaks for 2θ = 15–90°, sorted by position:
Position (°2θ)  d (Å)  I/Imax
29.91  2.987  100
30.51  2.930  42
31.21  2.866  23
35.99  2.495  35
39.24  2.296  63
46.98  1.934  20
52.27  1.750  31
60.92  1.521  12
61.40  1.510  13
61.74  1.503  34
66.09  1.414  15
67.27  1.392  13

Cell and atoms:
Lattice parameters (Å, degrees): 6.199 6.199 6.199 32.80 32.80 32.80
Fractional positions:
Tb (0.000, 0.000, 0.000)
Dy (0.180, 0.180, 0.180)
H (0.587, 0.587, 0.587)
H (0.768, 0.768, 0.768)

=====

Entry 5:
The following is a simulated powder diffractogram of Tb2Dy4Tl3H2. It was derived from the GGA-PBE geometry in Alexandria, using copper Kα.
Peak positions follow from Bragg's law for the DFT cell and can differ from measured ones.

Top 12 peaks for 2θ = 15–90°, sorted by position:
Position (°2θ)  d (Å)  I/Imax
19.05  4.659  18
27.56  3.236  35
29.13  3.065  10
30.37  2.943  17
31.75  2.818  18
34.59  2.593  100
37.92  2.372  52
50.27  1.815  10
53.76  1.705  11
54.72  1.678  18
59.72  1.548  11
66.36  1.409  34

Cell and atoms:
Lattice parameters (Å, degrees): 12.712 12.712 12.712 158.49 158.49 30.61
Fractional positions:
Tb (0.197, 0.197, 0.000)
Tb (0.803, 0.803, 0.000)
Dy (0.084, 0.584, 0.500)
Dy (0.416, 0.916, 0.500)
Dy (0.584, 0.084, 0.500)
Dy (0.916, 0.416, 0.500)
Tl (0.326, 0.326, 0.000)
Tl (0.500, 0.500, 0.000)
Tl (0.674, 0.674, 0.000)
H (0.102, 0.102, 0.000)
H (0.898, 0.898, 0.000)

=====

Entry 6:
The following is a simulated powder diffractogram of Dy2TcH. It was derived from the GGA-PBE geometry in Alexandria, using copper Kα.
Peak positions follow from Bragg's law for the DFT cell and can differ from measured ones.

Top 12 peaks for 2θ = 15–90°, sorted by position:
Position (°2θ)  d (Å)  I/Imax
25.62  3.477  18
26.85  3.320  32
29.82  2.996  7
37.45  2.401  100
38.34  2.348  47
46.68  1.946  14
52.64  1.739  9
55.34  1.660  16
66.98  1.397  18
68.74  1.366  33
79.89  1.201  11
89.58  1.094  8

Cell and atoms:
Lattice parameters (Å, degrees): 3.320 3.320 6.954 90.00 90.00 90.00
Fractional positions:
Dy (0.000, 0.000, 0.241)
Dy (0.000, 0.000, 0.759)
Tc (0.500, 0.500, 0.000)
H (0.500, 0.500, 0.500)

=====

Entry 7:
The following is a simulated powder diffractogram of DyTe2H. It was derived from the GGA-PBE geometry in Alexandria, using copper Kα.
Peak positions follow from Bragg's law for the DFT cell and can differ from measured ones.

Top 12 peaks for 2θ = 15–90°, sorted by position:
Position (°2θ)  d (Å)  I/Imax
23.61  3.769  55
24.02  3.705  69
24.32  3.660  79
29.72  3.006  100
30.20  2.959  95
30.69  2.913  85
36.23  2.479  35
39.41  2.287  49
39.60  2.276  41
40.14  2.247  47
46.65  1.947  36
50.59  1.804  37

Cell and atoms:
Lattice parameters (Å, degrees): 4.494 7.897 7.945 71.56 89.71 89.06
Fractional positions:
Dy (0.248, 0.487, 0.222)
Dy (0.752, 0.513, 0.778)
Te (0.244, 0.740, 0.847)
Te (0.259, 0.305, 0.640)
Te (0.741, 0.695, 0.360)
Te (0.756, 0.260, 0.153)
H (0.258, 0.076, 0.728)
H (0.742, 0.924, 0.272)

=====

Entry 8:
The following is a simulated powder diffractogram of DyThH4. It was derived from the GGA-PBE geometry in Alexandria, using copper Kα.
Peak positions follow from Bragg's law for the DFT cell and can differ from measured ones.

Top 12 peaks for 2θ = 15–90°, sorted by position:
Position (°2θ)  d (Å)  I/Imax
29.08  3.070  100
32.48  2.757  18
34.31  2.614  32
47.96  1.897  26
49.31  1.848  12
55.87  1.646  17
58.27  1.583  29
60.29  1.535  13
77.69  1.229  13
78.44  1.219  6
79.75  1.202  6
81.51  1.181  6

Cell and atoms:
Lattice parameters (Å, degrees): 3.696 3.696 5.514 90.00 90.00 90.00
Fractional positions:
Dy (0.000, 0.000, 0.000)
Th (0.500, 0.500, 0.500)
H (0.000, 0.500, 0.235)
H (0.000, 0.500, 0.765)
H (0.500, 0.000, 0.235)
H (0.500, 0.000, 0.765)